Er3TmNi4: computed powder X-ray diffraction pattern (Cu Kα (λ = 1.5418 Å)), based on the PBE geometry in OQMD.
Kinematic intensities with the Lorentz-polarization factor, no thermal factor.

Largest 8 diffraction maxima, most intense first, 2θ from 5° to 70°:
- hkl 0 1 2, 2θ = 33.58°, I = 100
- hkl 2 0 1, 2θ = 35.79°, I = 92
- hkl 1 1 -1, 2θ = 30.10°, I = 89
- hkl 1 1 2, 2θ = 37.62°, I = 82
- hkl 2 1 1, 2θ = 42.12°, I = 77
- hkl 0 2 0, 2θ = 43.75°, I = 51
- hkl 2 2 1, 2θ = 57.76°, I = 49
- hkl 1 0 3, 2θ = 42.30°, I = 44

Structural model:
Cell lengths 5.3759, 4.1385, 6.9851 Å; angles 90.00, 90.02, 90.00 degrees
Fractional coordinates of all 8 atoms:
Er 0.0000 0.0000 0.0000
Er 0.2390 0.0000 0.4997
Er 0.7388 0.5000 0.6403
Tm 0.5000 0.5000 0.1402
Ni 0.2444 0.5000 0.7825
Ni 0.4945 0.0000 0.8582
Ni 0.7441 0.0000 0.3577
Ni 0.9945 0.5000 0.2821